Record 1
Structure and computed XRD peak list of Ca4TeP2 (a structure optimized by DFT (PBE); Cu Kα (weighted mean of Kα1 and Kα2)).
No peak broadening, texture or thermal motion is included.

Cell and atoms:
abc: 8.7631 8.7631 12.2696
angles: 90.00 90.00 90.00
Space group I4_1/amd (No. 141, origin choice 2)
Asymmetric unit:
Ca (0.0000, 0.0394, 0.2679) x16
Te (0.0000, 0.2500, 0.8750) x4
P (0.0000, 0.0000, 0.5000) x8

Top 10 peaks for 5° ≤ 2θ ≤ 70°, in order of rising 2θ:
2θ 20.27, intensity 51
2θ 20.37, intensity 100
2θ 23.84, intensity 89
2θ 24.01, intensity 47
2θ 31.62, intensity 38
2θ 35.55, intensity 36
2θ 37.73, intensity 76
2θ 38.08, intensity 36
2θ 41.21, intensity 44
2θ 41.42, intensity 88

Record 2
Structure and computed XRD peak list of Ca3Th5P8 (a structure optimized by DFT (PBE); Cu Kα (weighted mean of Kα1 and Kα2)).
No peak broadening, texture or thermal motion is included.

Cell and atoms:
abc: 8.3235 8.3235 20.2464
angles: 90.00 90.00 120.00
Space group R-3m (No. 166, hexagonal axes)
Asymmetric unit:
Ca (0.0000, 0.5000, 0.0000) x9
Th (0.0000, 0.0000, 0.0000) x3
Th (0.0000, 0.0000, 0.5000) x3
Th (0.0000, 0.5000, 0.5000) x9
P (0.0000, 0.0000, 0.2463) x6
P (0.0023, 0.5012, 0.7512) x18

Top 10 peaks for 5° ≤ 2θ ≤ 70°, in order of rising 2θ:
2θ 13.10, intensity 41
2θ 25.10, intensity 25
2θ 26.25, intensity 63
2θ 26.41, intensity 21
2θ 30.45, intensity 100
2θ 43.49, intensity 37
2θ 43.70, intensity 37
2θ 51.57, intensity 32
2θ 54.01, intensity 20
2θ 63.36, intensity 12